1.
Structure and simulated powder X-ray diffraction pattern of LaAl11Cr (a structure optimized by DFT (GGA-PBE); Cu Ka).

Most intense lines, 2θ from 15° to 90°, by angle:
19.4 deg, rel. 69, hkl 1 1 -1; 27.0 deg, rel. 50, hkl 1 1 1; 27.7 deg, rel. 61, hkl 1 3 -1; 33.6 deg, rel. 61, hkl 1 3 1; 38.2 deg, rel. 41, hkl 1 1 2; 38.5 deg, rel. 57, hkl 1 1 -3; 39.0 deg, rel. 100, hkl 0 4 2; 39.2 deg, rel. 74, hkl 2 2 0; 39.4 deg, rel. 63, hkl 2 2 -2; 39.7 deg, rel. 82, hkl 1 5 -1

Crystal structure
```
data_LaAl11Cr
_cell_length_a 5.2808
_cell_length_b 12.7979
_cell_length_c 7.1644
_cell_angle_alpha 90.00
_cell_angle_beta 111.08
_cell_angle_gamma 90.00
_symmetry_space_group_name_H-M 'C 1 2/m 1'
_symmetry_Int_Tables_number 12
loop_
_symmetry_equiv_pos_as_xyz
'x,y,z'
'-x,-y,-z'
'-x,y,-z'
'x,-y,z'
'x+1/2,y+1/2,z'
'-x+1/2,-y+1/2,-z'
'-x+1/2,y+1/2,-z'
'x+1/2,-y+1/2,z'
loop_
_atom_site_label
_atom_site_type_symbol
_atom_site_fract_x
_atom_site_fract_y
_atom_site_fract_z
_atom_site_occupancy
La1 La 0.0000 0.0000 0.0000 1
Al1 Al 0.0000 0.0000 0.5000 1
Al2 Al 0.1078 0.3910 0.2290 1
Al3 Al 0.1987 0.1725 0.3632 1
Al4 Al 0.2500 0.2500 0.0000 1
Cr1 Cr 0.0000 0.5000 0.5000 1
```

2.
Structure and simulated powder X-ray diffraction pattern of Nd2DyHo5 (a structure optimized by DFT (GGA-PBE); Cu Ka).

Most intense lines, 2θ from 15° to 90°, by angle:
30.7 deg, rel. 100, hkl 2 0 1; 35.6 deg, rel. 51, hkl 2 4 0; 51.3 deg, rel. 36, hkl 4 0 0; 61.0 deg, rel. 43, hkl 4 4 1; 64.0 deg, rel. 12, hkl 4 0 2; 75.4 deg, rel. 4, hkl 4 8 0; 75.5 deg, rel. 2, hkl 0 0 4; 83.6 deg, rel. 18, hkl 6 0 1; 86.3 deg, rel. 11, hkl 6 4 0; 86.4 deg, rel. 6, hkl 2 4 4

Crystal structure
```
data_Nd2DyHo5
_cell_length_a 7.1309
_cell_length_b 14.2656
_cell_length_c 5.0362
_cell_angle_alpha 90.00
_cell_angle_beta 90.00
_cell_angle_gamma 90.00
_symmetry_space_group_name_H-M 'P b a m'
_symmetry_Int_Tables_number 55
loop_
_symmetry_equiv_pos_as_xyz
'x,y,z'
'-x,-y,-z'
'-x,-y,z'
'x,y,-z'
'x+1/2,-y+1/2,-z'
'-x+1/2,y+1/2,z'
'-x+1/2,y+1/2,-z'
'x+1/2,-y+1/2,z'
loop_
_atom_site_label
_atom_site_type_symbol
_atom_site_fract_x
_atom_site_fract_y
_atom_site_fract_z
_atom_site_occupancy
Nd1 Nd 0.2500 0.1251 0.0000 1
Dy1 Dy 0.0000 0.0000 0.5000 1
Ho1 Ho 0.9998 0.2501 0.5000 1
Ho2 Ho 0.0000 0.5000 0.5000 1
Ho3 Ho 0.2499 0.3749 0.0000 1
```